Computed XRD peak list
Compound: CeReSi2Ru
Radiation: copper Kα
Structure: a cell relaxed with PBE
Neutral-atom scattering factors, no anomalous dispersion.

```
CeReSi2Ru
1.0
-2.114 2.114 4.888
2.114 -2.114 4.888
2.114 2.114 -4.888
Ce Re Si Ru
1 1 2 1
Cartesian
0.000 0.000 0.000 Ce
2.114 0.000 2.444 Re
0.000 0.000 3.622 Si
0.000 0.000 6.153 Si
0.000 2.114 2.444 Ru
```

Most intense lines, 10° ≤ 2θ ≤ 90°, sorted by position:
| 2θ/deg | I_rel |
| --- | --- |
| 18.15 | 17 |
| 22.92 | 26 |
| 34.76 | 23 |
| 35.19 | 100 |
| 36.78 | 17 |
| 42.78 | 38 |
| 48.09 | 10 |
| 56.25 | 12 |
| 57.66 | 19 |
| 62.10 | 12 |
| 65.22 | 20 |
| 73.43 | 25 |

---

Computed XRD peak list
Compound: SmBS
Radiation: copper Kα
Structure: a cell relaxed with PBE
Neutral-atom scattering factors, no anomalous dispersion.

```
SmBS
1.0
3.730 -1.723 0.000
3.730 1.723 0.000
-0.881 0.000 10.766
Sm B S
2 2 2
Cartesian
1.403 0.000 3.312 Sm
5.176 0.000 7.454 Sm
3.289 0.821 5.383 B
3.289 -0.821 5.383 B
0.081 0.000 8.870 S
6.497 0.000 1.896 S
```

Most intense lines, 10° ≤ 2θ ≤ 90°, sorted by position:
| 2θ/deg | I_rel |
| --- | --- |
| 16.47 | 100 |
| 23.94 | 43 |
| 24.81 | 19 |
| 29.48 | 49 |
| 30.04 | 41 |
| 30.31 | 43 |
| 32.63 | 55 |
| 33.26 | 29 |
| 43.62 | 29 |
| 45.24 | 46 |
| 46.46 | 26 |
| 53.67 | 17 |

---

Computed XRD peak list
Compound: PuSiGe
Radiation: copper Kα
Structure: a cell relaxed with PBE
Neutral-atom scattering factors, no anomalous dispersion.

```
PuSiGe
1.0
4.210 0.000 0.000
-2.105 3.646 0.000
0.000 0.000 7.771
Pu Si Ge
2 2 2
Cartesian
0.000 0.000 0.000 Pu
0.000 0.000 3.885 Pu
0.000 2.430 1.943 Si
2.105 1.215 5.828 Si
0.000 2.430 5.828 Ge
2.105 1.215 1.943 Ge
```

Most intense lines, 10° ≤ 2θ ≤ 90°, sorted by position:
| 2θ/deg | I_rel |
| --- | --- |
| 22.89 | 8 |
| 24.42 | 44 |
| 33.71 | 100 |
| 42.97 | 36 |
| 46.76 | 9 |
| 49.23 | 8 |
| 50.04 | 7 |
| 53.44 | 12 |
| 55.70 | 24 |
| 65.37 | 21 |
| 72.83 | 22 |
| 78.35 | 9 |

---

Computed XRD peak list
Compound: BaCdC
Radiation: copper Kα
Structure: a cell relaxed with PBE
Neutral-atom scattering factors, no anomalous dispersion.

```
BaCdC
1.0
4.518 0.000 0.000
-2.169 4.400 0.000
-0.044 -2.229 9.000
Ba Cd C
2 2 2
Cartesian
-0.004 0.169 2.753 Ba
2.309 2.001 6.247 Ba
0.045 3.007 0.088 Cd
2.259 -0.837 8.912 Cd
0.030 2.702 4.245 C
2.275 -0.532 4.755 C
```

Most intense lines, 10° ≤ 2θ ≤ 90°, sorted by position:
| 2θ/deg | I_rel |
| --- | --- |
| 25.10 | 100 |
| 25.23 | 48 |
| 25.56 | 50 |
| 28.01 | 50 |
| 28.31 | 51 |
| 29.78 | 55 |
| 36.25 | 42 |
| 36.96 | 44 |
| 39.92 | 34 |
| 45.94 | 22 |
| 47.36 | 19 |
| 50.59 | 25 |

---

Computed XRD peak list
Compound: Ag2PdSe5
Radiation: copper Kα
Structure: a cell relaxed with PBE
Neutral-atom scattering factors, no anomalous dispersion.

```
Ag2PdSe5
1.0
-2.687 2.687 7.766
2.687 -2.687 7.766
2.687 2.687 -7.766
Ag Pd Se
2 1 5
Cartesian
2.687 0.000 0.000 Ag
0.000 2.687 0.000 Ag
0.000 0.000 3.103 Pd
0.000 0.000 0.555 Se
1.305 1.305 -3.008 Se
1.383 -1.383 4.758 Se
-1.383 1.383 4.758 Se
1.383 1.383 4.758 Se
```

Most intense lines, 10° ≤ 2θ ≤ 90°, sorted by position:
| 2θ/deg | I_rel |
| --- | --- |
| 11.39 | 17 |
| 17.46 | 50 |
| 22.90 | 53 |
| 26.11 | 51 |
| 34.65 | 18 |
| 35.35 | 100 |
| 37.88 | 16 |
| 40.84 | 43 |
| 47.87 | 43 |
| 48.85 | 28 |
| 53.71 | 20 |
| 80.95 | 17 |

---

Computed XRD peak list
Compound: NdEr2Ag2
Radiation: copper Kα
Structure: a cell relaxed with PBE
Neutral-atom scattering factors, no anomalous dispersion.

```
NdEr2Ag2
1.0
3.633 0.000 0.000
0.000 5.328 0.000
-1.809 0.000 13.471
Nd Er Ag
2 4 4
Cartesian
0.005 1.332 3.914 Nd
1.819 3.996 9.558 Nd
0.000 3.996 1.279 Er
0.005 3.996 6.324 Er
1.819 1.332 7.148 Er
1.824 1.332 12.193 Er
0.003 1.332 9.637 Ag
0.007 3.996 12.301 Ag
1.817 1.332 1.170 Ag
1.821 3.996 3.834 Ag
```

Most intense lines, 10° ≤ 2θ ≤ 90°, sorted by position:
| 2θ/deg | I_rel |
| --- | --- |
| 33.25 | 21 |
| 33.65 | 28 |
| 34.20 | 100 |
| 48.03 | 15 |
| 50.23 | 9 |
| 60.02 | 10 |
| 60.52 | 20 |
| 61.57 | 7 |
| 61.82 | 10 |
| 72.03 | 9 |
| 80.47 | 6 |
| 83.88 | 8 |